No. 1
The following is a theoretical powder diffractogram of TaTc2Ru. It was derived from a crystal structure in Alexandria, relaxed with GGA-PBE, using CuKα.
No peak broadening, texture or thermal motion is included.

Main lines, low angle first (15 to 90 degrees two-theta):
2θ (°)	Rel. int.
39.35	100
39.82	95
44.94	67
48.16	28
67.98	38
78.80	25

Cell lengths 2.879, 3.779, 5.654 Å; angles 90.00, 90.00, 90.00 degrees
Positions (direct):
Ta1 0.000 0.000 0.000
Tc1 0.000 0.000 0.500
Tc2 0.500 0.500 0.277
Ru1 0.500 0.500 0.755

No. 2
The following is a theoretical powder diffractogram of SrTmSi3. It was derived from a crystal structure in Alexandria, relaxed with GGA-PBE, using CuKα.
No peak broadening, texture or thermal motion is included.

Main lines, low angle first (15 to 90 degrees two-theta):
2θ (°)	Rel. int.
26.86	38
30.56	19
32.23	100
40.45	17
49.23	13
57.50	15

Cell lengths 12.646, 12.646, 3.922 Å; angles 90.00, 90.00, 159.68 degrees
Positions (direct):
Sr1 0.074 0.926 0.750
Sr2 0.926 0.074 0.250
Tm1 0.204 0.796 0.250
Tm2 0.796 0.204 0.750
Si1 0.318 0.682 0.250
Si2 0.376 0.624 0.750
Si3 0.474 0.526 0.750
Si4 0.526 0.474 0.250
Si5 0.624 0.376 0.250
Si6 0.682 0.318 0.750

No. 3
The following is a theoretical powder diffractogram of Pr4Nd4Sm3. It was derived from a crystal structure in Alexandria, relaxed with GGA-PBE, using CuKα.
No peak broadening, texture or thermal motion is included.

Main lines, low angle first (15 to 90 degrees two-theta):
2θ (°)	Rel. int.
29.76	34
30.25	17
30.54	39
31.28	100
54.75	28
60.70	15

Cell lengths 10.946, 6.798, 6.798 Å; angles 51.00, 90.00, 90.00 degrees
Positions (direct):
Pr1 0.000 0.000 0.000
Pr2 0.207 0.796 0.796
Pr3 0.500 0.933 0.933
Pr4 0.793 0.796 0.796
Nd1 0.000 0.592 0.592
Nd2 0.300 0.147 0.147
Nd3 0.500 0.658 0.658
Nd4 0.700 0.147 0.147
Sm1 0.000 0.296 0.296
Sm2 0.295 0.450 0.450
Sm3 0.705 0.450 0.450

No. 4
The following is a theoretical powder diffractogram of MgCrRh14. It was derived from a crystal structure in Alexandria, relaxed with GGA-PBE, using CuKα.
No peak broadening, texture or thermal motion is included.

Main lines, low angle first (15 to 90 degrees two-theta):
2θ (°)	Rel. int.
40.67	100
47.12	16
47.42	32
69.08	20
83.14	12
83.59	24

Cell lengths 5.423, 5.423, 7.715 Å; angles 90.00, 90.00, 90.00 degrees
Positions (direct):
Mg1 0.000 0.000 0.000
Cr1 0.500 0.500 0.000
Rh1 0.000 0.000 0.500
Rh2 0.000 0.500 0.000
Rh3 0.000 0.500 0.500
Rh4 0.253 0.253 0.251
Rh5 0.253 0.253 0.749
Rh6 0.253 0.747 0.251
Rh7 0.253 0.747 0.749
Rh8 0.500 0.000 0.000
Rh9 0.500 0.000 0.500
Rh10 0.500 0.500 0.500
Rh11 0.747 0.253 0.251
Rh12 0.747 0.253 0.749
Rh13 0.747 0.747 0.251
Rh14 0.747 0.747 0.749

No. 5
The following is a theoretical powder diffractogram of AcPrHo. It was derived from a crystal structure in Alexandria, relaxed with GGA-PBE, using CuKα.
No peak broadening, texture or thermal motion is included.

Main lines, low angle first (15 to 90 degrees two-theta):
2θ (°)	Rel. int.
29.18	100
33.49	35
34.48	16
48.83	24
57.24	31
58.55	14

Cell lengths 3.784, 3.784, 15.606 Å; angles 90.00, 90.00, 90.00 degrees
Positions (direct):
Ac1 0.000 0.000 0.000
Ac2 0.500 0.500 0.500
Pr1 0.000 0.000 0.324
Pr2 0.500 0.500 0.824
Ho1 0.000 0.000 0.669
Ho2 0.500 0.500 0.169

No. 6
The following is a theoretical powder diffractogram of ThBiW. It was derived from a crystal structure in Alexandria, relaxed with GGA-PBE, using CuKα.
No peak broadening, texture or thermal motion is included.

Main lines, low angle first (15 to 90 degrees two-theta):
2θ (°)	Rel. int.
28.24	57
33.68	100
33.86	63
36.76	42
47.13	45
59.17	41

Cell lengths 3.857, 3.857, 11.028 Å; angles 90.00, 90.00, 90.00 degrees
Positions (direct):
Th1 0.250 0.250 0.227
Th2 0.750 0.750 0.773
Bi1 0.250 0.250 0.587
Bi2 0.750 0.750 0.413
W1 0.250 0.750 0.000
W2 0.750 0.250 0.000